# 1
Diffraction record for Sn4P2O9. The PXRD pattern is simulated, not measured: it uses a crystal structure in Alexandria, relaxed with GGA-PBE and Cu Kα (weighted mean of Kα1 and Kα2).
Neutral-atom scattering factors, no anomalous dispersion.

Most intense lines, 10° ≤ 2θ ≤ 90°, by intensity:
| two_theta | Rel. int. |
| --- | --- |
| 27.9 | 100 |
| 24.8 | 75 |
| 26.5 | 71 |
| 30.7 | 68 |
| 29.5 | 63 |
| 29.3 | 62 |
| 36.1 | 40 |
| 31.5 | 33 |
| 52.4 | 33 |
| 54.2 | 29 |
| 27.6 | 28 |
| 23.4 | 27 |

Atomic structure:
Cell lengths 9.669, 7.229, 15.223 Å; angles 90.00, 109.18, 90.00 degrees
Fractional positions:
Sn: 0.055 0.227 0.359
Sn: 0.055 0.273 0.859
Sn: 0.285 0.055 0.601
Sn: 0.285 0.445 0.101
Sn: 0.302 0.576 0.591
Sn: 0.302 0.924 0.091
Sn: 0.332 0.743 0.316
Sn: 0.332 0.757 0.816
Sn: 0.668 0.243 0.184
Sn: 0.668 0.257 0.684
Sn: 0.698 0.076 0.909
Sn: 0.698 0.424 0.409
Sn: 0.715 0.555 0.899
Sn: 0.715 0.945 0.399
Sn: 0.945 0.727 0.141
Sn: 0.945 0.773 0.641
P: 0.040 0.704 0.385
P: 0.040 0.796 0.885
P: 0.370 0.243 0.319
P: 0.370 0.257 0.819
P: 0.630 0.743 0.181
P: 0.630 0.757 0.681
P: 0.960 0.204 0.115
P: 0.960 0.296 0.615
O: 0.014 0.002 0.116
O: 0.014 0.498 0.616
O: 0.080 0.160 0.611
O: 0.080 0.340 0.111
O: 0.081 0.747 0.294
O: 0.081 0.753 0.794
O: 0.183 0.739 0.467
O: 0.183 0.761 0.967
O: 0.246 0.701 0.167
O: 0.246 0.799 0.667
O: 0.249 0.137 0.839
O: 0.249 0.363 0.339
O: 0.309 0.046 0.291
O: 0.309 0.454 0.791
O: 0.413 0.161 0.740
O: 0.413 0.339 0.240
O: 0.488 0.739 0.094
O: 0.488 0.761 0.594
O: 0.512 0.239 0.406
O: 0.512 0.261 0.906
O: 0.587 0.661 0.760
O: 0.587 0.839 0.260
O: 0.691 0.546 0.209
O: 0.691 0.954 0.709
O: 0.751 0.637 0.661
O: 0.751 0.863 0.161
O: 0.754 0.201 0.333
O: 0.754 0.299 0.833
O: 0.817 0.239 0.033
O: 0.817 0.261 0.533
O: 0.919 0.247 0.206
O: 0.919 0.253 0.706
O: 0.920 0.660 0.889
O: 0.920 0.840 0.389
O: 0.986 0.502 0.384
O: 0.986 0.998 0.884

# 2
Diffraction record for SnP4O12. The PXRD pattern is simulated, not measured: it uses a crystal structure in Alexandria, relaxed with GGA-PBE and Cu Kα (weighted mean of Kα1 and Kα2).
Neutral-atom scattering factors, no anomalous dispersion.

Most intense lines, 10° ≤ 2θ ≤ 90°, by intensity:
| two_theta | Rel. int. |
| --- | --- |
| 21.0 | 100 |
| 15.7 | 75 |
| 23.8 | 52 |
| 31.8 | 45 |
| 13.7 | 42 |
| 24.1 | 34 |
| 27.6 | 31 |
| 34.3 | 27 |
| 32.1 | 27 |
| 33.8 | 21 |
| 20.8 | 16 |
| 28.4 | 14 |

Atomic structure:
Cell lengths 8.633, 8.633, 9.080 Å; angles 120.95, 120.95, 49.15 degrees
Fractional positions:
Sn: 0.221 0.779 0.750
Sn: 0.779 0.221 0.250
P: 0.011 0.268 0.682
P: 0.268 0.011 0.182
P: 0.342 0.387 0.872
P: 0.387 0.342 0.372
P: 0.613 0.658 0.628
P: 0.658 0.613 0.128
P: 0.732 0.989 0.818
P: 0.989 0.732 0.318
O: 0.002 0.745 0.497
O: 0.023 0.097 0.697
O: 0.097 0.023 0.197
O: 0.192 0.507 0.254
O: 0.195 0.573 0.792
O: 0.202 0.300 0.831
O: 0.255 0.998 0.003
O: 0.300 0.202 0.331
O: 0.420 0.451 0.568
O: 0.427 0.805 0.708
O: 0.451 0.420 0.068
O: 0.493 0.808 0.246
O: 0.507 0.192 0.754
O: 0.549 0.580 0.932
O: 0.573 0.195 0.292
O: 0.580 0.549 0.432
O: 0.700 0.798 0.669
O: 0.745 0.002 0.997
O: 0.798 0.700 0.169
O: 0.805 0.427 0.208
O: 0.808 0.493 0.746
O: 0.903 0.977 0.803
O: 0.977 0.903 0.303
O: 0.998 0.255 0.503

# 3
Diffraction record for Sn2P3O10. The PXRD pattern is simulated, not measured: it uses a crystal structure in Alexandria, relaxed with GGA-PBE and Cu Kα (weighted mean of Kα1 and Kα2).
Neutral-atom scattering factors, no anomalous dispersion.

Most intense lines, 10° ≤ 2θ ≤ 90°, by intensity:
| two_theta | Rel. int. |
| --- | --- |
| 25.8 | 100 |
| 23.2 | 35 |
| 34.9 | 33 |
| 30.0 | 30 |
| 29.0 | 30 |
| 21.1 | 27 |
| 30.7 | 27 |
| 19.3 | 24 |
| 21.9 | 21 |
| 17.6 | 21 |
| 30.5 | 18 |
| 41.0 | 17 |

Atomic structure:
Cell lengths 5.167, 9.461, 9.411 Å; angles 90.00, 102.57, 90.00 degrees
Fractional positions:
Sn: 0.049 0.042 0.342
Sn: 0.049 0.458 0.342
Sn: 0.951 0.542 0.658
Sn: 0.951 0.958 0.658
P: 0.261 0.250 0.854
P: 0.449 0.250 0.182
P: 0.491 0.750 0.407
P: 0.509 0.250 0.593
P: 0.551 0.750 0.818
P: 0.739 0.750 0.146
O: 0.103 0.114 0.832
O: 0.103 0.386 0.832
O: 0.228 0.250 0.492
O: 0.252 0.750 0.744
O: 0.308 0.114 0.210
O: 0.308 0.386 0.210
O: 0.348 0.614 0.428
O: 0.348 0.886 0.428
O: 0.455 0.250 0.011
O: 0.483 0.250 0.761
O: 0.517 0.750 0.239
O: 0.545 0.750 0.989
O: 0.652 0.114 0.572
O: 0.652 0.386 0.572
O: 0.692 0.614 0.790
O: 0.692 0.886 0.790
O: 0.748 0.250 0.256
O: 0.772 0.750 0.508
O: 0.897 0.614 0.168
O: 0.897 0.886 0.168